Starting from a crystal structure in Alexandria, relaxed with GGA-PBE, the X-ray diffraction stick pattern of NdDy2Ho6 was calculated for Cu Kα, 1.54184 Å.
Lines closer than 0.1° are merged.

Main lines, in order of rising 2θ (10 to 80 degrees two-theta):
d [Å], I (rel.)
2.822, 893
2.801, 1000
2.179, 124
1.988, 328
1.621, 343
1.617, 194
1.474, 191
1.401, 120

Cell: 14.811 14.811 3.469 Å, 90.00 90.00 158.18°
Fractional positions:
1 Nd 0.000 0.000 0.000
2 Dy 0.333 0.667 0.000
3 Dy 0.667 0.333 0.000
4 Ho 0.113 0.887 0.500
5 Ho 0.223 0.777 0.500
6 Ho 0.444 0.556 0.500
7 Ho 0.556 0.444 0.500
8 Ho 0.777 0.223 0.500
9 Ho 0.887 0.113 0.500



Starting from a crystal structure in Alexandria, relaxed with GGA-PBE, the X-ray diffraction stick pattern of Pm5Pr2Dy4 was calculated for Cu Kα, 1.54184 Å.
Lines closer than 0.1° are merged.

Main lines, in order of rising 2θ (10 to 80 degrees two-theta):
d [Å], I (rel.)
3.021, 249
2.984, 200
2.928, 949
2.842, 1000
2.751, 390
2.670, 280
1.696, 195
1.510, 386

Cell: 9.101 9.101 11.755 Å, 94.01 94.01 22.58°
Fractional positions:
1 Pm 0.000 0.000 0.000
2 Pm 0.324 0.324 0.932
3 Pm 0.405 0.405 0.464
4 Pm 0.595 0.595 0.536
5 Pm 0.676 0.676 0.068
6 Pr 0.216 0.216 0.351
7 Pr 0.784 0.784 0.649
8 Dy 0.140 0.140 0.798
9 Dy 0.468 0.468 0.742
10 Dy 0.532 0.532 0.258
11 Dy 0.860 0.860 0.202



Starting from a crystal structure in Alexandria, relaxed with GGA-PBE, the X-ray diffraction stick pattern of CaAcH8Pd2 was calculated for Cu Kα, 1.54184 Å.
Lines closer than 0.1° are merged.

Main lines, in order of rising 2θ (10 to 80 degrees two-theta):
d [Å], I (rel.)
7.745, 271
3.928, 215
3.286, 1000
2.347, 396
2.301, 381
1.885, 212
1.481, 190
1.458, 178

Cell: 8.188 8.188 8.188 Å, 32.64 32.64 32.64°
Fractional positions:
1 Ca 0.000 0.000 0.000
2 Ac 0.500 0.500 0.500
3 H 0.013 0.462 0.462
4 H 0.177 0.177 0.177
5 H 0.462 0.013 0.462
6 H 0.462 0.462 0.013
7 H 0.538 0.538 0.987
8 H 0.538 0.987 0.538
9 H 0.823 0.823 0.823
10 H 0.987 0.538 0.538
11 Pd 0.251 0.251 0.251
12 Pd 0.749 0.749 0.749